(1)
Structure and calculated PXRD pattern of Ba2LaOs (a DFT-relaxed cell (GGA-PBE, Alexandria); Cu Kα X-rays).
Intensities are scaled so that the largest is 100.

Peak list (8 most intense, 5° ≤ 2θ ≤ 70°, by intensity)
two_theta	d_spacing	intensity
9.37	9.437	100.0
30.76	2.907	70.2
38.81	2.320	50.9
28.37	3.146	39.1
33.63	2.665	38.0
45.65	1.987	26.4
20.84	4.262	26.0
24.79	3.592	21.8

Structure:
```
Ba2LaOs
1.0
4.3747 0.0000 0.0000
0.0000 3.9744 0.0000
-2.1781 0.0000 9.4365
Ba La Os
2 1 1
direct
0.0000 0.0000 0.0000
0.3015 0.5000 0.6065
0.6572 0.0000 0.3166
0.1333 0.5000 0.2690
```

***

(2)
Structure and calculated PXRD pattern of BaLaOs3 (a DFT-relaxed cell (GGA-PBE, Alexandria); Cu Kα X-rays).
Intensities are scaled so that the largest is 100.

Peak list (8 most intense, 5° ≤ 2θ ≤ 70°, by intensity)
two_theta	d_spacing	intensity
35.64	2.519	100.0
30.74	2.909	88.2
51.29	1.781	71.4
60.99	1.519	38.6
17.60	5.038	30.4
64.02	1.454	24.6
40.01	2.253	15.7
54.65	1.679	8.1

Structure:
```
BaLaOs3
1.0
5.0384 0.0000 0.0000
0.0000 5.0384 0.0000
0.0000 0.0000 5.0384
Ba La Os
1 1 3
direct
0.0000 0.0000 0.0000
0.5000 0.5000 0.5000
0.0000 0.5000 0.5000
0.5000 0.0000 0.5000
0.5000 0.5000 0.0000
```

***

(3)
Structure and calculated PXRD pattern of Ba2La2Pb (a DFT-relaxed cell (GGA-PBE, Alexandria); Cu Kα X-rays).
Intensities are scaled so that the largest is 100.

Peak list (8 most intense, 5° ≤ 2θ ≤ 70°, by intensity)
two_theta	d_spacing	intensity
27.58	3.234	100.0
33.09	2.707	48.1
29.56	3.022	48.1
44.96	2.016	42.2
25.50	3.492	37.3
56.95	1.617	23.0
51.26	1.782	17.8
36.37	2.470	17.0

Structure:
```
Ba2La2Pb
1.0
8.5600 0.0000 0.0000
0.0000 8.5600 0.0000
0.0000 0.0000 6.0419
Ba La Pb
4 4 2
direct
0.1734 0.3266 0.0000
0.3266 0.8266 0.0000
0.6734 0.1734 0.0000
0.8266 0.6734 0.0000
0.1374 0.6374 0.5000
0.3626 0.1374 0.5000
0.6374 0.8626 0.5000
0.8626 0.3626 0.5000
0.0000 0.0000 0.5000
0.5000 0.5000 0.5000
```

***

(4)
Structure and calculated PXRD pattern of Ba3LaPb6 (a DFT-relaxed cell (GGA-PBE, Alexandria); Cu Kα X-rays).
Intensities are scaled so that the largest is 100.

Peak list (8 most intense, 5° ≤ 2θ ≤ 70°, by intensity)
two_theta	d_spacing	intensity
29.73	3.005	100.0
27.42	3.252	77.6
30.15	2.964	47.7
39.56	2.278	39.0
43.80	2.067	22.7
51.37	1.779	22.2
38.52	2.337	21.8
27.24	3.274	21.6

Structure:
```
Ba3LaPb6
1.0
6.9720 4.0253 4.5356
-6.9720 4.0253 4.5356
0.0000 -8.0506 4.5356
Ba La Pb
6 2 12
direct
0.1836 0.7500 0.3164
0.2500 0.6836 0.8164
0.3164 0.1836 0.7500
0.6836 0.8164 0.2500
0.7500 0.3164 0.1836
0.8164 0.2500 0.6836
0.0000 0.0000 0.0000
0.5000 0.5000 0.5000
0.0122 0.0876 0.3670
0.0876 0.3670 0.0122
0.1330 0.4124 0.4878
0.3670 0.0122 0.0876
0.4124 0.4878 0.1330
0.4878 0.1330 0.4124
0.5122 0.8670 0.5876
0.5876 0.5122 0.8670
0.6330 0.9878 0.9124
0.8670 0.5876 0.5122
0.9124 0.6330 0.9878
0.9878 0.9124 0.6330
```

***

(5)
Structure and calculated PXRD pattern of Ba2LaPd (a DFT-relaxed cell (GGA-PBE, Alexandria); Cu Kα X-rays).
Intensities are scaled so that the largest is 100.

Peak list (8 most intense, 5° ≤ 2θ ≤ 70°, by intensity)
two_theta	d_spacing	intensity
29.46	3.032	100.0
24.78	3.593	97.4
40.45	2.230	75.8
27.10	3.291	55.9
50.83	1.796	39.3
42.15	2.144	37.4
49.51	1.841	29.6
22.61	3.933	20.6

Structure:
```
Ba2LaPd
1.0
4.2882 0.0000 0.0000
0.0000 4.2882 0.0000
-0.0011 0.0000 19.7447
Ba La Pd
4 2 2
direct
0.2484 0.0000 0.2398
0.2508 0.9991 0.5854
0.7492 0.4991 0.4146
0.7516 0.5000 0.7602
0.2501 0.0025 0.9287
0.7499 0.5025 0.0713
0.2499 0.0026 0.0787
0.7501 0.5026 0.9213
```

***

(6)
Structure and calculated PXRD pattern of BaLaSn2Pd5 (a DFT-relaxed cell (GGA-PBE, Alexandria); Cu Kα X-rays).
Intensities are scaled so that the largest is 100.

Peak list (8 most intense, 5° ≤ 2θ ≤ 70°, by intensity)
two_theta	d_spacing	intensity
33.17	2.701	100.0
37.21	2.417	87.5
40.49	2.228	35.0
53.64	1.709	30.3
69.65	1.350	28.5
64.54	1.444	28.0
27.39	3.257	25.9
35.76	2.511	22.4

Structure:
```
BaLaSn2Pd5
1.0
4.8330 0.0000 0.0000
0.0000 4.8330 0.0000
0.0000 0.0000 8.8147
Ba La Sn Pd
1 1 2 5
direct
0.0000 0.0000 0.0000
0.0000 0.0000 0.5000
0.5000 0.5000 0.3373
0.5000 0.5000 0.6627
0.0000 0.5000 0.2268
0.0000 0.5000 0.7732
0.5000 0.0000 0.2268
0.5000 0.0000 0.7732
0.5000 0.5000 0.0000
```